Simulated powder XRD pattern
Compound: Li2AlFe
Radiation: copper Kα
Structure: a PBE-relaxed structure
Lines closer than 0.1° are merged.

Cell and atoms:
a = 2.6429 Å, b = 3.7957 Å, c = 5.7024 Å
α = 90.00°, β = 91.97°, γ = 90.00°
Element x y z (fractional)
Li: 0.0000 0.0000 0.0000
Li: 0.4882 0.5000 0.2582
Al: 0.4972 0.5000 0.7138
Fe: 0.9890 0.0000 0.5203

Largest 10 diffraction maxima, sorted by position, 10 to 90 degrees two-theta:
| (hkl) | Position (°2θ) | I_rel |
| --- | --- | --- |
| 0 0 1 | 15.55 | 100.0 |
| 0 1 1 | 28.25 | 25.2 |
| 0 1 2 | 39.55 | 34.3 |
| 1 1 0 | 41.66 | 32.4 |
| 1 1 -1 | 44.28 | 13.2 |
| 1 1 1 | 45.16 | 11.5 |
| 1 0 -2 | 46.05 | 10.7 |
| 1 0 2 | 47.75 | 9.8 |
| 0 2 0 | 47.93 | 11.7 |
| 0 1 3 | 53.98 | 9.3 |

---

Simulated powder XRD pattern
Compound: Er2ZnGaNi
Radiation: copper Kα
Structure: a PBE-relaxed structure
Lines closer than 0.1° are merged.

Cell and atoms:
a = 7.0714 Å, b = 4.2558 Å, c = 7.0786 Å
α = 90.00°, β = 109.77°, γ = 90.00°
Element x y z (fractional)
Er: 0.0535 0.2500 0.2093
Er: 0.3442 0.7500 0.6233
Er: 0.6558 0.2500 0.3767
Er: 0.9465 0.7500 0.7907
Zn: 0.3465 0.7500 0.1675
Zn: 0.6535 0.2500 0.8325
Ga: 0.3174 0.2500 0.9393
Ga: 0.6826 0.7500 0.0607
Ni: 0.0698 0.2500 0.5996
Ni: 0.9302 0.7500 0.4004

Largest 10 diffraction maxima, sorted by position, 10 to 90 degrees two-theta:
| (hkl) | Position (°2θ) | I_rel |
| --- | --- | --- |
| 0 1 1 | 24.83 | 42.4 |
| 1 1 1 | 30.39 | 52.7 |
| 1 1 -2 | 33.22 | 100.0 |
| 1 0 2 | 33.93 | 49.7 |
| 2 1 0 | 34.20 | 94.7 |
| 2 1 -2 | 37.59 | 81.9 |
| 1 0 -3 | 38.14 | 39.2 |
| 1 1 2 | 40.17 | 52.2 |
| 3 0 0 | 40.67 | 40.7 |
| 0 2 0 | 42.48 | 63.6 |

---

Simulated powder XRD pattern
Compound: CePr6Ho10
Radiation: copper Kα
Structure: a PBE-relaxed structure
Lines closer than 0.1° are merged.

Cell and atoms:
a = 9.7214 Å, b = 9.7214 Å, c = 6.9410 Å
α = 90.00°, β = 90.00°, γ = 120.00°
Element x y z (fractional)
Ce: 0.0000 0.0000 0.0000
Pr: 0.0000 0.3800 0.2015
Pr: 0.0000 0.6200 0.7985
Pr: 0.3800 0.0000 0.2015
Pr: 0.3800 0.3800 0.7985
Pr: 0.6200 0.0000 0.7985
Pr: 0.6200 0.6200 0.2015
Ho: 0.0000 0.2706 0.6820
Ho: 0.0000 0.7294 0.3180
Ho: 0.2706 0.0000 0.6820
Ho: 0.2706 0.2706 0.3180
Ho: 0.3333 0.6667 0.0000
Ho: 0.3333 0.6667 0.5000
Ho: 0.6667 0.3333 0.0000
Ho: 0.6667 0.3333 0.5000
Ho: 0.7294 0.0000 0.3180
Ho: 0.7294 0.7294 0.6820

Largest 10 diffraction maxima, sorted by position, 10 to 90 degrees two-theta:
| (hkl) | Position (°2θ) | I_rel |
| --- | --- | --- |
| 2 1 1 | 30.91 | 51.8 |
| 2 -1 2 | 31.68 | 100.0 |
| 3 0 0 | 31.89 | 71.6 |
| 3 1 1 | 40.77 | 11.6 |
| 2 2 2 | 45.57 | 23.8 |
| 5 -2 1 | 48.95 | 14.0 |
| 3 1 3 | 55.95 | 9.2 |
| 1 1 4 | 56.29 | 17.6 |
| 5 -1 2 | 56.69 | 14.9 |
| 5 1 1 | 62.93 | 15.2 |